Calculated powder diffraction line list
Compound: BaLa8CoSi6O26
Radiation: Cu Kα (λ = 1.5418 Å)
Structure: a DFT-relaxed cell (GGA+U, Alexandria)

Main lines, low angle first (2θ = 10–90°):
hkl 1 0 2, d = 3.314 Å, intensity 40; hkl 2 1 0, d = 3.190 Å, intensity 38; hkl 3 -2 1, d = 2.917 Å, intensity 100; hkl 1 1 2, d = 2.897 Å, intensity 52; hkl 3 0 0, d = 2.813 Å, intensity 28; hkl 4 -2 2, d = 2.018 Å, intensity 27; hkl 2 1 3, d = 1.919 Å, intensity 36; hkl 4 0 2, d = 1.821 Å, intensity 28

Atomic structure:
```
42
Lattice="9.745 0.000 0.000 -4.873 8.440 0.000 0.000 0.000 7.206" Properties=species:S:1:pos:R:3 pbc="T T T"
Ba 0.000 0.000 0.000
La 0.000 0.000 3.561
La 0.000 5.626 7.049
La 3.612 0.907 5.318
La 2.571 2.907 1.741
La 5.942 0.773 1.741
La 3.853 4.858 5.318
La 7.154 2.674 5.318
La 6.104 4.759 1.741
Co 0.000 5.626 3.465
Si -1.113 2.692 1.828
Si -2.719 5.902 5.212
Si -1.985 8.057 1.828
Si 1.121 3.134 5.212
Si 1.598 7.844 5.212
Si 3.098 6.130 1.828
O -3.983 6.941 5.248
O -2.508 5.118 6.664
O -3.378 7.187 1.920
O 0.338 1.921 1.920
O -1.024 4.334 1.861
O 0.853 1.520 5.248
O -0.240 3.992 4.889
O -1.295 6.652 4.889
O 2.878 0.574 0.465
O 2.797 0.704 3.062
O -0.607 7.160 1.861
O 1.694 3.709 6.664
O 2.370 3.347 4.155
O 1.631 5.386 1.861
O 1.535 6.235 4.889
O 0.813 8.053 6.664
O 5.661 0.379 4.155
O 4.873 2.813 1.837
O 4.873 2.813 5.744
O 3.931 5.661 0.465
O 4.084 5.665 3.062
O 3.040 7.772 1.920
O 3.130 8.419 5.248
O 7.737 2.070 3.062
O 7.810 2.205 0.465
O 6.586 4.713 4.155
```